Structure and simulated powder X-ray diffraction pattern of CaV2Bi2Pb2O10 (DFT lattice parameters and positions (PBE+U); Cu Kα X-rays).
Neutral-atom scattering factors, no anomalous dispersion.

Structural model:
```
data_CaV2Bi2Pb2O10
_chemical_formula_sum 'Ca2 V4 Bi4 Pb4 O20'
_cell_length_a 11.257
_cell_length_b 7.494
_cell_length_c 7.425
_cell_angle_alpha 90.00
_cell_angle_beta 98.72
_cell_angle_gamma 90.00
_space_group_name_H-M_alt 'C 1 2 1'
_space_group_IT_number 5
loop_
_space_group_symop_operation_xyz
'x,y,z'
'-x,y,-z'
'x+1/2,y+1/2,z'
'-x+1/2,y+1/2,-z'
loop_
_atom_site_label
_atom_site_fract_x
_atom_site_fract_y
_atom_site_fract_z
Ca1 0.000 0.000 0.000
V1 0.210 0.730 0.108
Bi1 0.029 0.478 0.729
Pb1 0.149 0.941 0.622
O1 0.000 0.292 0.500
O2 0.000 0.667 0.500
O3 0.122 0.763 0.874
O4 0.130 0.174 0.866
O5 0.157 0.520 0.217
O6 0.164 0.911 0.227
```

The 12 most intense peaks (10° ≤ 2θ ≤ 80°), by intensity:
- 26.82 deg, I 100.0, hkl 3 1 0
- 27.15 deg, I 96.9, hkl 1 1 -2
- 23.75 deg, I 61.6, hkl 0 2 0
- 39.56 deg, I 38.6, hkl 2 2 2
- 27.92 deg, I 38.0, hkl 3 1 -1
- 18.49 deg, I 36.5, hkl 2 0 -1
- 31.17 deg, I 32.8, hkl 2 0 2
- 42.37 deg, I 32.2, hkl 5 1 -1
- 32.22 deg, I 30.0, hkl 2 2 1
- 26.71 deg, I 28.3, hkl 0 2 1
- 43.91 deg, I 27.5, hkl 1 3 -2
- 48.60 deg, I 24.2, hkl 0 4 0